This entry pairs a crystal structure of GaAgAu3 with its calculated X-ray powder pattern. Radiation: Cu Kα (weighted mean of Kα1 and Kα2). Structure: the GGA-PBE geometry in Alexandria.
Intensities are scaled so that the largest is 100.

The 10 most intense peaks (15 to 90 degrees two-theta), by angle:
Position (°2θ)  d/Å  I (rel.)  h k l
37.41  2.404  80  0 1 2
37.55  2.395  100  1 1 -2
38.03  2.366  83  2 0 2
38.72  2.325  87  3 0 -2
39.98  2.255  89  2 1 0
41.92  2.155  67  1 0 -4
58.92  1.568  29  1 1 4
62.97  1.476  25  0 2 0
75.98  1.252  25  2 2 2
76.43  1.246  24  3 2 -2

```
data_GaAgAu3
_cell_length_a 7.276
_cell_length_b 2.952
_cell_length_c 8.621
_cell_angle_alpha 90.00
_cell_angle_beta 106.14
_cell_angle_gamma 90.00
_space_group_name_H-M_alt 'P 1'
_space_group_IT_number 1
loop_
_space_group_symop_operation_xyz
'x,y,z'
loop_
_atom_site_label
_atom_site_type_symbol
_atom_site_fract_x
_atom_site_fract_y
_atom_site_fract_z
Ga1 Ga 0.006 0.250 0.246
Ga2 Ga 0.994 0.750 0.754
Ag1 Ag 0.417 0.250 0.346
Ag2 Ag 0.583 0.750 0.654
Au1 Au 0.183 0.750 0.521
Au2 Au 0.200 0.750 0.065
Au3 Au 0.360 0.250 0.839
Au4 Au 0.640 0.750 0.161
Au5 Au 0.800 0.250 0.935
Au6 Au 0.817 0.250 0.479
```

***

This entry pairs a crystal structure of Cs3Cr2H9 with its calculated X-ray powder pattern. Radiation: Cu Kα (weighted mean of Kα1 and Kα2). Structure: the GGA-PBE geometry in Alexandria.
Intensities are scaled so that the largest is 100.

The 10 most intense peaks (15 to 90 degrees two-theta), by angle:
Position (°2θ)  d/Å  I (rel.)  h k l
19.93  4.455  42  1 0 2
23.79  3.740  45  1 0 3
28.32  3.152  100  1 1 0
33.40  2.683  19  1 0 5
34.85  2.574  11  2 0 2
37.29  2.411  15  2 0 3
45.54  1.992  22  1 1 6
47.47  1.915  14  2 1 3
50.11  1.820  24  3 0 0
53.44  1.715  12  2 1 5

```
data_Cs3Cr2H9
_cell_length_a 6.308
_cell_length_b 6.308
_cell_length_c 15.396
_cell_angle_alpha 90.00
_cell_angle_beta 90.00
_cell_angle_gamma 120.00
_space_group_name_H-M_alt 'P 1'
_space_group_IT_number 1
loop_
_space_group_symop_operation_xyz
'x,y,z'
loop_
_atom_site_label
_atom_site_type_symbol
_atom_site_fract_x
_atom_site_fract_y
_atom_site_fract_z
Cs1 Cs 0.000 0.000 0.250
Cs2 Cs 0.000 0.000 0.750
Cs3 Cs 0.333 0.667 0.079
Cs4 Cs 0.333 0.667 0.421
Cs5 Cs 0.667 0.333 0.579
Cs6 Cs 0.667 0.333 0.921
Cr1 Cr 0.333 0.667 0.666
Cr2 Cr 0.333 0.667 0.834
Cr3 Cr 0.667 0.333 0.166
Cr4 Cr 0.667 0.333 0.334
H1 H 0.094 0.547 0.750
H2 H 0.206 0.413 0.603
H3 H 0.206 0.413 0.897
H4 H 0.206 0.794 0.603
H5 H 0.206 0.794 0.897
H6 H 0.413 0.206 0.103
H7 H 0.413 0.206 0.397
H8 H 0.453 0.547 0.750
H9 H 0.453 0.906 0.750
H10 H 0.547 0.094 0.250
H11 H 0.547 0.453 0.250
H12 H 0.587 0.794 0.603
H13 H 0.587 0.794 0.897
H14 H 0.794 0.206 0.103
H15 H 0.794 0.206 0.397
H16 H 0.794 0.587 0.103
H17 H 0.794 0.587 0.397
H18 H 0.906 0.453 0.250
```